1.
The following is a calculated PXRD pattern of Ca4MgB4C2O18. It was derived from a structure optimized by DFT (PBE), using Cu Ka.

Structure:
Unit cell a=10.081 b=10.081 c=4.571 alpha=102.96 beta=102.96 gamma=46.63
Element x y z (fractional)
1 Ca 0.077 0.608 0.854
2 Ca 0.392 0.923 0.146
3 Ca 0.608 0.077 0.854
4 Ca 0.923 0.392 0.146
5 Mg 0.000 0.000 0.000
6 B 0.097 0.097 0.557
7 B 0.258 0.742 0.500
8 B 0.742 0.258 0.500
9 B 0.903 0.903 0.443
10 C 0.306 0.306 0.369
11 C 0.694 0.694 0.631
12 O 0.097 0.097 0.868
13 O 0.099 0.796 0.624
14 O 0.146 0.428 0.230
15 O 0.167 0.167 0.489
16 O 0.204 0.901 0.376
17 O 0.307 0.602 0.248
18 O 0.343 0.343 0.645
19 O 0.398 0.693 0.752
20 O 0.428 0.146 0.230
21 O 0.572 0.854 0.770
22 O 0.602 0.307 0.248
23 O 0.657 0.657 0.355
24 O 0.693 0.398 0.752
25 O 0.796 0.099 0.624
26 O 0.833 0.833 0.511
27 O 0.854 0.572 0.770
28 O 0.901 0.204 0.376
29 O 0.903 0.903 0.132

Principal peaks in the range 2θ from 10° to 80°, in order of rising 2θ:
d_spacing, 2θ/deg, intensity
7.292, 12.14, 38.4
3.628, 24.54, 23.2
2.993, 29.86, 21.7
2.967, 30.12, 30.0
2.687, 33.35, 100.0
2.234, 40.37, 24.4
2.228, 40.49, 20.7
1.823, 50.04, 15.0
1.814, 50.30, 20.8
1.660, 55.33, 20.8

=====

2.
The following is a calculated PXRD pattern of CaB3C6O6. It was derived from a structure optimized by DFT (PBE), using Cu Ka.

Structure:
Unit cell a=6.047 b=6.883 c=24.825 alpha=87.37 beta=84.06 gamma=76.04
Element x y z (fractional)
1 Ca 0.000 0.000 0.000
2 B 0.000 0.000 0.500
3 B 0.000 0.500 0.000
4 B 0.500 0.500 0.000
5 C 0.092 0.015 0.743
6 C 0.169 0.611 0.996
7 C 0.355 0.697 0.984
8 C 0.645 0.303 0.016
9 C 0.831 0.389 0.004
10 C 0.908 0.985 0.257
11 O 0.019 0.181 0.757
12 O 0.165 0.849 0.729
13 O 0.365 0.877 0.969
14 O 0.635 0.123 0.031
15 O 0.835 0.151 0.271
16 O 0.981 0.819 0.243

Principal peaks in the range 2θ from 10° to 80°, in order of rising 2θ:
d_spacing, 2θ/deg, intensity
8.229, 10.75, 72.4
6.678, 13.26, 17.4
6.171, 14.35, 100.0
5.832, 15.19, 22.6
5.029, 17.64, 38.8
4.485, 19.79, 15.3
4.460, 19.91, 18.2
4.106, 21.64, 26.2
3.717, 23.94, 13.4
3.087, 28.93, 11.4

=====

3.
The following is a calculated PXRD pattern of CeB2C2. It was derived from a structure optimized by DFT (PBE), using Cu Ka.

Structure:
Unit cell a=5.374 b=5.374 c=3.761 alpha=90.00 beta=90.00 gamma=90.00
Element x y z (fractional)
1 Ce 0.000 0.000 0.000
2 Ce 0.500 0.500 0.000
3 B 0.137 0.363 0.500
4 B 0.363 0.863 0.500
5 B 0.637 0.137 0.500
6 B 0.863 0.637 0.500
7 C 0.162 0.662 0.500
8 C 0.338 0.162 0.500
9 C 0.662 0.838 0.500
10 C 0.838 0.338 0.500

Principal peaks in the range 2θ from 10° to 80°, in order of rising 2θ:
d_spacing, 2θ/deg, intensity
3.800, 23.41, 83.6
3.761, 23.66, 24.1
2.687, 33.35, 35.3
2.673, 33.52, 100.0
2.186, 41.29, 54.7
1.699, 53.96, 26.8
1.696, 54.08, 20.2
1.685, 54.44, 17.9
1.549, 59.71, 24.9
1.261, 75.39, 19.5

=====

4.
The following is a calculated PXRD pattern of CeB2C2. It was derived from a structure optimized by DFT (PBE), using Cu Ka.

Structure:
Unit cell a=3.818 b=3.818 c=7.501 alpha=90.00 beta=90.00 gamma=90.00
Element x y z (fractional)
1 Ce 0.000 0.000 0.250
2 Ce 0.000 0.000 0.750
3 B 0.218 0.500 0.000
4 B 0.500 0.218 0.500
5 B 0.500 0.782 0.500
6 B 0.782 0.500 0.000
7 C 0.186 0.500 0.500
8 C 0.500 0.186 0.000
9 C 0.500 0.814 0.000
10 C 0.814 0.500 0.500

Principal peaks in the range 2θ from 10° to 80°, in order of rising 2θ:
d_spacing, 2θ/deg, intensity
3.818, 23.30, 83.9
3.750, 23.73, 23.8
2.700, 33.19, 35.8
2.675, 33.49, 100.0
2.191, 41.20, 54.6
1.707, 53.68, 27.3
1.701, 53.89, 20.5
1.683, 54.52, 17.7
1.554, 59.49, 24.9
1.262, 75.27, 19.6

=====

What is the formula in the fourth record?
CeB2C2